No. 1
# NdSbIr4
Theoretical powder diffraction line list, Cu Kα (weighted mean of Kα1 and Kα2). Input: a GGA-PBE-relaxed structure.
No peak broadening, texture or thermal motion is included.

Principal peaks in the range 15° ≤ 2θ ≤ 90°, low angle first:
| 2theta | d [Å] | I (rel.) | hkl |
| --- | --- | --- | --- |
| 20.16 | 4.405 | 20 | 1 1 1 |
| 33.21 | 2.697 | 17 | 2 2 0 |
| 39.16 | 2.300 | 100 | 3 1 1 |
| 40.98 | 2.202 | 53 | 2 2 2 |
| 47.68 | 1.907 | 11 | 4 0 0 |
| 59.34 | 1.557 | 6 | 4 2 2 |
| 63.35 | 1.468 | 33 | 5 1 1 |
| 69.73 | 1.349 | 30 | 4 4 0 |
| 83.00 | 1.163 | 12 | 5 3 3 |
| 84.18 | 1.150 | 21 | 6 2 2 |

Atomic structure:
```
data_NdSbIr4
_chemical_formula_sum 'Nd4 Sb4 Ir16'
_space_group_name_H-M_alt 'F -4 3 m'
_space_group_IT_number 216
_space_group_name_Hall 'F -4 2 3'
_cell_length_a 7.629
_cell_length_b 7.629
_cell_length_c 7.629
_cell_angle_alpha 90.00
_cell_angle_beta 90.00
_cell_angle_gamma 90.00
loop_
_atom_site_label
_atom_site_fract_x
_atom_site_fract_y
_atom_site_fract_z
_atom_site_occupancy
Nd1 0.000 0.000 0.000 1
Sb1 0.250 0.250 0.250 1
Ir1 0.124 0.124 0.624 1
```

No. 2
# HPb2SeO6
Theoretical powder diffraction line list, Cu Kα (weighted mean of Kα1 and Kα2). Input: a GGA-PBE-relaxed structure.
No peak broadening, texture or thermal motion is included.

Principal peaks in the range 15° ≤ 2θ ≤ 90°, low angle first:
| 2theta | d [Å] | I (rel.) | hkl |
| --- | --- | --- | --- |
| 19.05 | 4.660 | 37 | 0 0 1 |
| 23.11 | 3.849 | 36 | 0 2 0 |
| 30.11 | 2.968 | 100 | 2 0 0 |
| 32.91 | 2.722 | 38 | 2 2 -1 |
| 38.26 | 2.352 | 20 | 2 2 0 |
| 38.32 | 2.349 | 18 | 2 2 -2 |
| 45.51 | 1.993 | 26 | 2 0 1 |
| 47.23 | 1.925 | 22 | 0 4 0 |
| 51.64 | 1.770 | 22 | 2 2 -3 |
| 57.03 | 1.615 | 34 | 2 4 0 |

Atomic structure:
```
data_HPb2SeO6
_chemical_formula_sum 'H2 Pb4 Se2 O12'
_space_group_name_H-M_alt 'C 1 m 1'
_space_group_IT_number 8
_space_group_name_Hall 'C -2y'
_cell_length_a 7.699
_cell_length_b 7.698
_cell_length_c 6.037
_cell_angle_alpha 90.00
_cell_angle_beta 129.48
_cell_angle_gamma 90.00
loop_
_atom_site_label
_atom_site_fract_x
_atom_site_fract_y
_atom_site_fract_z
_atom_site_occupancy
H1 0.000 0.000 0.000 1
Pb1 0.053 0.250 0.607 1
Se1 0.101 0.500 0.202 1
O1 0.145 0.273 0.290 1
O2 0.371 0.500 0.289 1
O3 0.396 0.500 0.789 1
O4 0.416 0.000 0.833 1
O5 0.418 0.000 0.290 1
```

No. 3
# HfZr9In2
Theoretical powder diffraction line list, Cu Kα (weighted mean of Kα1 and Kα2). Input: a GGA-PBE-relaxed structure.
No peak broadening, texture or thermal motion is included.

Principal peaks in the range 15° ≤ 2θ ≤ 90°, low angle first:
| 2theta | d [Å] | I (rel.) | hkl |
| --- | --- | --- | --- |
| 19.75 | 4.495 | 3 | 1 0 0 |
| 28.08 | 3.178 | 3 | 1 0 3 |
| 34.57 | 2.595 | 100 | 1 1 3 |
| 40.13 | 2.247 | 49 | 2 0 0 |
| 58.04 | 1.589 | 33 | 2 2 0 |
| 69.26 | 1.357 | 12 | 1 1 9 |
| 69.39 | 1.354 | 25 | 3 1 3 |
| 72.91 | 1.297 | 11 | 2 2 6 |
| 86.48 | 1.125 | 2 | 0 0 12 |
| 86.73 | 1.123 | 3 | 4 0 0 |

Atomic structure:
```
data_HfZr9In2
_chemical_formula_sum 'Hf1 Zr9 In2'
_space_group_name_H-M_alt 'P 4/m m m'
_space_group_IT_number 123
_space_group_name_Hall '-P 4 2'
_cell_length_a 4.491
_cell_length_b 4.491
_cell_length_c 13.504
_cell_angle_alpha 90.00
_cell_angle_beta 90.00
_cell_angle_gamma 90.00
loop_
_atom_site_label
_atom_site_fract_x
_atom_site_fract_y
_atom_site_fract_z
_atom_site_occupancy
Hf1 0.000 0.000 0.000 1
Zr1 0.000 0.500 0.166 1
Zr2 0.000 0.500 0.500 1
Zr3 0.500 0.500 0.000 1
Zr4 0.500 0.500 0.337 1
In1 0.000 0.000 0.334 1
```

No. 4
# CrSi2
Theoretical powder diffraction line list, Cu Kα (weighted mean of Kα1 and Kα2). Input: a GGA-PBE-relaxed structure.
No peak broadening, texture or thermal motion is included.

Principal peaks in the range 15° ≤ 2θ ≤ 90°, low angle first:
| 2theta | d [Å] | I (rel.) | hkl |
| --- | --- | --- | --- |
| 24.63 | 3.614 | 13 | 0 1 1 |
| 40.24 | 2.241 | 32 | 1 0 3 |
| 41.59 | 2.171 | 62 | 0 1 3 |
| 44.23 | 2.048 | 55 | 0 2 0 |
| 44.99 | 2.015 | 100 | 2 1 0 |
| 46.18 | 1.966 | 58 | 1 1 3 |
| 53.35 | 1.717 | 27 | 2 0 3 |
| 61.32 | 1.512 | 18 | 1 2 3 |
| 71.73 | 1.316 | 21 | 2 2 3 |
| 81.93 | 1.176 | 16 | 2 3 0 |

Atomic structure:
```
data_CrSi2
_chemical_formula_sum 'Cr4 Si8'
_space_group_name_H-M_alt 'P n m a'
_space_group_IT_number 62
_space_group_name_Hall '-P 2ac 2n'
_cell_length_a 4.629
_cell_length_b 4.096
_cell_length_c 7.683
_cell_angle_alpha 90.00
_cell_angle_beta 90.00
_cell_angle_gamma 90.00
loop_
_atom_site_label
_atom_site_fract_x
_atom_site_fract_y
_atom_site_fract_z
_atom_site_occupancy
Cr1 0.143 0.250 0.121 1
Si1 0.126 0.250 0.803 1
Si2 0.144 0.250 0.460 1
```

No. 5
# CaLa2P2
Theoretical powder diffraction line list, Cu Kα (weighted mean of Kα1 and Kα2). Input: a GGA-PBE-relaxed structure.
No peak broadening, texture or thermal motion is included.

Principal peaks in the range 15° ≤ 2θ ≤ 90°, low angle first:
| 2theta | d [Å] | I (rel.) | hkl |
| --- | --- | --- | --- |
| 21.69 | 4.097 | 15 | 0 0 1 |
| 25.00 | 3.562 | 41 | 2 1 0 |
| 26.91 | 3.314 | 18 | 1 1 1 |
| 33.33 | 2.688 | 100 | 2 1 1 |
| 35.64 | 2.519 | 33 | 3 1 0 |
| 44.21 | 2.049 | 12 | 0 0 2 |
| 51.45 | 1.776 | 12 | 2 1 2 |
| 52.36 | 1.748 | 12 | 4 1 1 |
| 58.03 | 1.589 | 15 | 3 1 2 |
| 67.29 | 1.391 | 19 | 5 2 1 |

Atomic structure:
```
data_CaLa2P2
_chemical_formula_sum 'Ca2 La4 P4'
_space_group_name_H-M_alt 'P 4/m b m'
_space_group_IT_number 127
_space_group_name_Hall '-P 4 2ab'
_cell_length_a 7.966
_cell_length_b 7.966
_cell_length_c 4.097
_cell_angle_alpha 90.00
_cell_angle_beta 90.00
_cell_angle_gamma 90.00
loop_
_atom_site_label
_atom_site_fract_x
_atom_site_fract_y
_atom_site_fract_z
_atom_site_occupancy
Ca1 0.000 0.000 0.000 1
La1 0.151 0.349 0.500 1
P1 0.157 0.657 0.000 1
```

No. 6
# Ac2YPt2I2
Theoretical powder diffraction line list, Cu Kα (weighted mean of Kα1 and Kα2). Input: a GGA-PBE-relaxed structure.
No peak broadening, texture or thermal motion is included.

Principal peaks in the range 15° ≤ 2θ ≤ 90°, low angle first:
| 2theta | d [Å] | I (rel.) | hkl |
| --- | --- | --- | --- |
| 23.70 | 3.754 | 25 | 1 1 0 |
| 25.83 | 3.449 | 37 | 1 1 2 |
| 30.63 | 2.918 | 100 | 1 0 5 |
| 31.42 | 2.847 | 66 | 1 1 4 |
| 33.77 | 2.654 | 86 | 2 0 0 |
| 46.23 | 1.964 | 68 | 2 1 5 |
| 48.50 | 1.877 | 31 | 2 2 0 |
| 58.94 | 1.567 | 23 | 3 1 4 |
| 63.78 | 1.459 | 24 | 2 0 10 |
| 69.24 | 1.357 | 23 | 3 2 5 |

Atomic structure:
```
data_Ac2YPt2I2
_chemical_formula_sum 'Ac4 Y2 Pt4 I4'
_space_group_name_H-M_alt 'I 4/m m m'
_space_group_IT_number 139
_space_group_name_Hall '-I 4 2'
_cell_length_a 5.309
_cell_length_b 5.309
_cell_length_c 17.470
_cell_angle_alpha 90.00
_cell_angle_beta 90.00
_cell_angle_gamma 90.00
loop_
_atom_site_label
_atom_site_fract_x
_atom_site_fract_y
_atom_site_fract_z
_atom_site_occupancy
Ac1 0.000 0.000 0.107 1
Y1 0.000 0.000 0.500 1
Pt1 0.000 0.500 0.000 1
I1 0.000 0.000 0.308 1
```